[1]
Structure and theoretical powder diffraction line list of Bi2H3Rh2 (DFT lattice parameters and positions (GGA-PBE); a wavelength of 1.5418 Å).

The 10 most intense peaks (2θ from 10° to 90°), most intense first:
2theta, I_rel, hkl
30.95, 100, 0 1 2
30.83, 87, 1 0 1
31.32, 85, 1 0 -1
31.71, 84, 0 1 -2
40.01, 82, 0 2 0
23.37, 66, 0 1 -1
22.87, 55, 0 1 1
37.79, 55, 1 -1 1
42.89, 54, 1 1 -2
49.94, 54, 1 1 3

Cell lengths 3.130, 4.514, 7.382 Å; angles 88.56, 88.70, 87.23 degrees
Space group P-1 (No. 2)
Asymmetric unit:
Bi  0.184  0.245  0.190 [2 per cell]
H  0.311  0.285  0.693 [2 per cell]
H  0.500  0.000  0.500 [1 per cell]
Rh  0.195  0.739  0.411 [2 per cell]

***

[2]
Structure and theoretical powder diffraction line list of Bi2HRu (DFT lattice parameters and positions (GGA-PBE); a wavelength of 1.5418 Å).

The 10 most intense peaks (2θ from 10° to 90°), most intense first:
2theta, I_rel, hkl
38.17, 100, 2 2 0
26.74, 44, 2 0 0
68.99, 36, 4 2 2
62.26, 18, 4 2 0
55.09, 18, 4 0 0
47.22, 13, 2 2 2
81.68, 12, 4 4 0
87.84, 10, 6 0 0
23.10, 10, 1 1 1
45.09, 5, 3 1 1

Cell lengths 6.669, 6.669, 6.669 Å; angles 90.00, 90.00, 90.00 degrees
Space group Fm-3m (No. 225)
Asymmetric unit:
Bi  0.250  0.250  0.250 [8 per cell]
H  0.000  0.000  0.000 [4 per cell]
Ru  0.000  0.000  0.500 [4 per cell]

***

[3]
Structure and theoretical powder diffraction line list of BiSbH2 (DFT lattice parameters and positions (GGA-PBE); a wavelength of 1.5418 Å).

The 10 most intense peaks (2θ from 10° to 90°), most intense first:
2theta, I_rel, hkl
25.27, 100, 1 3 0
29.33, 78, 0 2 2
27.76, 73, 0 0 2
37.89, 69, 1 3 2
31.56, 66, 1 5 0
42.53, 60, 1 5 2
28.89, 55, 1 3 1
34.58, 55, 1 5 1
40.33, 38, 0 8 1
49.83, 38, 0 10 1

Cell lengths 4.233, 19.085, 6.427 Å; angles 90.00, 90.00, 90.00 degrees
Space group Cmcm (No. 63)
Asymmetric unit:
Bi  0.000  0.217  0.250 [4 per cell]
Sb  0.000  0.175  0.750 [4 per cell]
H  0.000  0.462  0.692 [8 per cell]